[1]
HoTe2ClO5: simulated powder diffractogram (λ = 1.5418 Å (Cu Kα)), based on a crystal structure in the Materials Project, relaxed with GGA-PBE.

Structural model:
```
HoTe2ClO5
1.0
7.663 0.000 0.000
-0.275 8.010 0.000
-1.663 -2.009 10.080
Ho Te Cl O
4 8 4 20
Cartesian
0.946 3.011 4.509 Ho
1.084 -0.989 5.246 Ho
4.641 6.991 4.835 Ho
4.779 2.991 5.572 Ho
-0.389 0.133 2.396 Te
-0.055 1.495 7.655 Te
2.273 5.871 2.391 Te
1.942 4.527 7.644 Te
3.783 1.475 2.437 Te
3.452 0.130 7.689 Te
5.780 4.507 2.425 Te
6.114 5.869 7.685 Te
0.918 3.084 1.627 Cl
1.029 -0.984 9.243 Cl
4.696 6.986 0.838 Cl
4.807 2.918 8.453 Cl
-0.835 -0.677 6.476 O
-0.668 2.425 6.126 O
0.590 0.850 3.880 O
0.793 6.991 1.645 O
0.409 5.123 6.620 O
1.334 5.178 3.908 O
0.935 3.014 8.469 O
1.475 0.883 6.636 O
3.009 -0.660 3.586 O
2.562 3.567 6.137 O
3.163 2.435 3.943 O
2.716 6.662 6.494 O
4.250 5.119 3.444 O
4.790 2.987 1.611 O
4.391 0.824 6.172 O
5.316 0.879 3.461 O
4.932 -0.989 8.435 O
5.135 5.152 6.200 O
6.393 3.577 3.954 O
6.560 6.678 3.605 O
```

Most intense lines, 2θ from 10° to 90°, sorted by position:
Position (°2θ)  d_spacing  I (rel.)
25.5  3.491  100.0
25.9  3.441  98.1
26.3  3.393  85.8
26.6  3.356  68.0
27.9  3.202  62.8
30.1  2.970  59.5
31.5  2.842  98.5
31.9  2.801  48.1

---

[2]
HoTiClO3: simulated powder diffractogram (λ = 1.5418 Å (Cu Kα)), based on a crystal structure in the Materials Project, relaxed with GGA-PBE.

Structural model:
```
HoTiClO3
1.0
4.911 -1.954 0.000
4.911 1.954 0.000
-2.876 0.000 9.477
Ho Ti Cl O
2 2 2 6
Cartesian
1.582 0.000 1.952 Ho
5.366 0.000 7.525 Ho
2.110 0.000 5.398 Ti
4.838 0.000 4.078 Ti
-1.475 0.000 8.584 Cl
8.422 0.000 0.893 Cl
0.389 0.000 4.128 O
1.273 0.000 7.080 O
3.060 0.000 3.554 O
3.888 0.000 5.923 O
5.674 0.000 2.397 O
6.558 0.000 5.349 O
```

Most intense lines, 2θ from 10° to 90°, sorted by position:
Position (°2θ)  d_spacing  I (rel.)
18.7  4.738  27.0
18.9  4.700  61.7
25.4  3.505  100.0
30.4  2.938  25.4
35.6  2.520  29.8
35.8  2.508  49.5
37.2  2.416  24.9
46.5  1.954  22.4

---

[3]
Rb2HoCl5: simulated powder diffractogram (λ = 1.5418 Å (Cu Kα)), based on a crystal structure in the Materials Project, relaxed with GGA-PBE.

Structural model:
```
Rb2HoCl5
1.0
9.580 0.000 0.000
0.000 7.428 0.000
0.000 0.000 14.928
Rb Ho Cl
8 4 20
Cartesian
0.223 1.857 3.173 Rb
1.570 5.571 6.222 Rb
3.220 1.857 13.686 Rb
4.567 5.571 10.637 Rb
5.013 1.857 4.291 Rb
6.360 5.571 1.242 Rb
8.009 1.857 8.706 Rb
9.357 5.571 11.755 Rb
1.717 5.571 0.980 Ho
3.072 1.857 8.444 Ho
6.507 5.571 6.484 Ho
7.862 1.857 13.948 Ho
0.000 0.000 0.000 Cl
0.000 3.714 0.000 Cl
0.185 5.571 3.054 Cl
1.580 3.768 9.234 Cl
1.580 7.374 9.234 Cl
2.040 1.857 6.017 Cl
2.750 5.571 13.481 Cl
3.210 0.054 1.770 Cl
3.210 3.660 1.770 Cl
4.605 1.857 10.518 Cl
4.790 0.000 7.464 Cl
4.790 3.714 7.464 Cl
4.974 5.571 4.410 Cl
6.370 3.768 13.158 Cl
6.370 7.374 13.158 Cl
6.829 1.857 1.447 Cl
7.540 5.571 8.910 Cl
7.999 0.054 5.694 Cl
7.999 3.660 5.694 Cl
9.395 1.857 11.874 Cl
```

Most intense lines, 2θ from 10° to 90°, sorted by position:
Position (°2θ)  d_spacing  I (rel.)
16.2  5.463  61.2
21.5  4.134  100.0
22.1  4.028  95.7
24.0  3.714  58.9
31.1  2.880  47.4
32.8  2.732  78.0
35.5  2.528  52.8
48.8  1.866  54.2

---

[4]
K2I2ClO6: simulated powder diffractogram (λ = 1.5418 Å (Cu Kα)), based on a crystal structure in the Materials Project, relaxed with GGA-PBE.

Structural model:
```
K2I2ClO6
1.0
15.348 0.000 0.000
0.000 6.600 0.000
0.000 0.000 8.736
K I Cl O
8 8 4 24
Cartesian
0.241 0.158 0.000 K
3.610 3.659 0.093 K
4.064 3.659 4.461 K
7.433 0.158 4.368 K
7.915 6.442 0.000 K
11.284 2.941 0.093 K
11.738 2.941 4.461 K
15.107 6.442 4.368 K
0.498 3.422 2.231 I
3.329 0.460 2.349 I
4.345 0.460 6.717 I
7.176 3.422 6.599 I
8.172 3.177 2.231 I
11.003 6.140 2.349 I
12.019 6.140 6.717 I
14.850 3.177 6.599 I
1.906 5.128 6.482 Cl
5.768 5.128 2.114 Cl
9.581 1.472 6.482 Cl
13.442 1.472 2.114 Cl
0.566 1.741 6.323 O
0.891 2.925 0.512 O
1.716 1.161 2.950 O
2.020 4.297 2.760 O
2.962 0.070 0.602 O
3.366 1.963 6.597 O
4.308 1.963 2.228 O
4.712 0.070 4.970 O
5.654 4.297 7.128 O
5.958 1.161 7.318 O
6.783 2.925 4.880 O
7.108 1.741 1.955 O
8.240 4.858 6.323 O
8.565 3.675 0.512 O
9.390 5.439 2.950 O
9.694 2.302 2.760 O
10.636 6.530 0.602 O
11.040 4.636 6.597 O
11.982 4.636 2.228 O
12.386 6.530 4.970 O
13.328 2.302 7.128 O
13.633 5.439 7.318 O
14.457 3.675 4.880 O
14.782 4.858 1.955 O
```

Most intense lines, 2θ from 10° to 90°, sorted by position:
Position (°2θ)  d_spacing  I (rel.)
15.4  5.766  17.9
17.7  5.004  41.0
20.3  4.368  32.1
23.2  3.837  17.9
27.1  3.292  100.0
28.8  3.101  34.0
35.9  2.502  15.1
41.3  2.186  21.6

---

[5]
PICl8: simulated powder diffractogram (λ = 1.5418 Å (Cu Kα)), based on a crystal structure in the Materials Project, relaxed with GGA-PBE.

Structural model:
```
PICl8
1.0
-6.401 8.393 6.304
6.401 -8.393 6.304
6.401 8.393 -6.304
P I Cl
4 4 32
Cartesian
3.201 8.452 -3.152 P
3.201 0.059 3.152 P
-3.201 8.334 3.152 P
3.201 8.334 3.152 P
6.401 4.197 -0.902 I
0.000 4.197 0.761 I
6.401 4.197 5.543 I
0.000 4.197 7.207 I
6.401 -4.197 3.418 Cl
6.401 1.663 -0.868 Cl
2.192 -1.080 1.913 Cl
10.611 -1.080 1.913 Cl
0.000 1.659 0.743 Cl
4.423 1.203 2.139 Cl
8.380 1.203 2.139 Cl
2.192 7.314 -1.913 Cl
4.209 -1.080 4.391 Cl
2.524 4.197 0.728 Cl
3.877 -4.197 7.032 Cl
6.401 6.730 -0.868 Cl
6.401 4.197 1.653 Cl
4.423 9.597 -2.139 Cl
1.979 1.203 4.166 Cl
0.000 6.734 0.743 Cl
6.401 1.659 5.561 Cl
4.423 7.190 2.139 Cl
1.979 -1.203 8.443 Cl
0.000 4.197 4.651 Cl
0.000 1.663 7.172 Cl
2.524 12.590 -0.728 Cl
3.877 4.197 5.577 Cl
2.192 9.473 1.913 Cl
4.209 1.080 8.217 Cl
-1.979 7.190 4.166 Cl
1.979 7.190 4.166 Cl
6.401 6.734 5.561 Cl
-4.209 9.473 4.391 Cl
4.209 9.473 4.391 Cl
0.000 6.730 7.172 Cl
0.000 12.590 2.886 Cl
```

Most intense lines, 2θ from 10° to 90°, sorted by position:
Position (°2θ)  d_spacing  I (rel.)
16.5  5.360  39.0
17.4  5.090  100.0
17.6  5.041  63.8
19.8  4.492  51.3
25.8  3.458  38.8
29.7  3.011  69.5
29.9  2.989  44.5
32.0  2.798  37.2

---

[6]
PbICl: simulated powder diffractogram (λ = 1.5418 Å (Cu Kα)), based on a crystal structure in the Materials Project, relaxed with GGA-PBE.

Structural model:
```
PbICl
1.0
8.330 0.000 0.000
0.000 4.632 0.000
0.000 0.000 9.872
Pb I Cl
4 4 4
Cartesian
1.696 1.158 1.210 Pb
2.469 3.474 6.147 Pb
5.861 1.158 3.726 Pb
6.634 3.474 8.662 Pb
0.267 3.474 3.261 I
3.898 1.158 8.197 I
4.432 3.474 1.675 I
8.063 1.158 6.611 I
1.163 3.474 9.298 Cl
3.002 1.158 4.362 Cl
5.328 3.474 5.510 Cl
7.167 1.158 0.574 Cl
```

Most intense lines, 2θ from 10° to 90°, sorted by position:
Position (°2θ)  d_spacing  I (rel.)
20.9  4.247  58.0
23.8  3.746  57.1
28.5  3.130  75.2
30.2  2.955  100.0
33.4  2.683  28.3
33.5  2.673  28.4
35.1  2.554  39.4
38.9  2.316  40.5

---

[7]
SbI3Cl8: simulated powder diffractogram (λ = 1.5418 Å (Cu Kα)), based on a crystal structure in the Materials Project, relaxed with GGA-PBE.

Structural model:
```
SbI3Cl8
1.0
7.577 0.000 0.000
-1.509 7.688 0.000
-0.511 -0.751 8.074
Sb I Cl
1 3 8
Cartesian
0.000 0.000 0.000 Sb
-1.010 3.469 4.037 I
0.984 5.174 5.356 I
4.574 1.763 2.719 I
0.592 0.035 2.306 Cl
-0.475 4.990 7.761 Cl
1.268 0.777 7.597 Cl
2.388 5.341 3.433 Cl
3.170 1.596 4.641 Cl
4.290 6.160 0.478 Cl
6.033 1.947 0.314 Cl
4.966 6.902 5.769 Cl
```

Most intense lines, 2θ from 10° to 90°, sorted by position:
Position (°2θ)  d_spacing  I (rel.)
15.2  5.831  100.0
16.9  5.255  42.1
18.2  4.864  24.4
18.6  4.770  55.1
24.0  3.715  61.1
25.9  3.440  24.3
32.0  2.801  29.7
36.3  2.472  31.0